Entry 1:
Calculated X-ray diffraction stick pattern
Compound: LiEr2Mg4
Radiation: a wavelength of 1.5418 Å
Structure: a cell relaxed with GGA-PBE
Kinematic intensities with the Lorentz-polarization factor, no thermal factor.

Cell and atoms:
```
data_LiEr2Mg4
_chemical_formula_sum 'Li1 Er2 Mg4'
_cell_length_a 15.0238
_cell_length_b 15.0238
_cell_length_c 3.4091
_cell_angle_alpha 90.00
_cell_angle_beta 90.00
_cell_angle_gamma 167.01
_space_group_name_H-M_alt 'P 1'
_space_group_IT_number 1
loop_
_space_group_symop_operation_xyz
'x,y,z'
loop_
_atom_site_label
_atom_site_type_symbol
_atom_site_fract_x
_atom_site_fract_y
_atom_site_fract_z
Li1 Li 0.0000 0.0000 0.0000
Er1 Er 0.2997 0.7003 0.5000
Er2 Er 0.7003 0.2997 0.5000
Mg1 Mg 0.1233 0.8767 0.0000
Mg2 Mg 0.4424 0.5576 0.5000
Mg3 Mg 0.5576 0.4424 0.5000
Mg4 Mg 0.8767 0.1233 0.0000
```

Largest 10 diffraction maxima, low angle first, 2θ = 15–90°:
- 23.84 deg, 3.732 Å, I = 49
- 26.14 deg, 3.409 Å, I = 62
- 26.82 deg, 3.324 Å, I = 61
- 27.73 deg, 3.217 Å, I = 45
- 30.25 deg, 2.954 Å, I = 100
- 33.72 deg, 2.658 Å, I = 75
- 35.67 deg, 2.517 Å, I = 72
- 38.48 deg, 2.340 Å, I = 63
- 40.40 deg, 2.233 Å, I = 61
- 43.15 deg, 2.096 Å, I = 46


Entry 2:
Calculated X-ray diffraction stick pattern
Compound: Li4ErMg15
Radiation: a wavelength of 1.5418 Å
Structure: a cell relaxed with GGA-PBE
Kinematic intensities with the Lorentz-polarization factor, no thermal factor.

Cell and atoms:
```
data_Li4ErMg15
_chemical_formula_sum 'Li4 Er1 Mg15'
_cell_length_a 4.4942
_cell_length_b 4.4942
_cell_length_c 22.3553
_cell_angle_alpha 90.00
_cell_angle_beta 90.00
_cell_angle_gamma 90.00
_space_group_name_H-M_alt 'P 1'
_space_group_IT_number 1
loop_
_space_group_symop_operation_xyz
'x,y,z'
loop_
_atom_site_label
_atom_site_type_symbol
_atom_site_fract_x
_atom_site_fract_y
_atom_site_fract_z
Li1 Li 0.0000 0.0000 0.0962
Li2 Li 0.0000 0.0000 0.2964
Li3 Li 0.0000 0.0000 0.7036
Li4 Li 0.0000 0.0000 0.9038
Er1 Er 0.0000 0.0000 0.5000
Mg1 Mg 0.0000 0.5000 0.0000
Mg2 Mg 0.0000 0.5000 0.1955
Mg3 Mg 0.0000 0.5000 0.3929
Mg4 Mg 0.0000 0.5000 0.6071
Mg5 Mg 0.0000 0.5000 0.8045
Mg6 Mg 0.5000 0.0000 0.0000
Mg7 Mg 0.5000 0.0000 0.1955
Mg8 Mg 0.5000 0.0000 0.3929
Mg9 Mg 0.5000 0.0000 0.6071
Mg10 Mg 0.5000 0.0000 0.8045
Mg11 Mg 0.5000 0.5000 0.0980
Mg12 Mg 0.5000 0.5000 0.2920
Mg13 Mg 0.5000 0.5000 0.5000
Mg14 Mg 0.5000 0.5000 0.7080
Mg15 Mg 0.5000 0.5000 0.9020
```

Largest 10 diffraction maxima, low angle first, 2θ = 15–90°:
- 20.15 deg, 4.406 Å, I = 32
- 21.31 deg, 4.170 Å, I = 28
- 23.11 deg, 3.848 Å, I = 21
- 25.43 deg, 3.502 Å, I = 15
- 32.41 deg, 2.763 Å, I = 14
- 34.63 deg, 2.590 Å, I = 100
- 40.13 deg, 2.247 Å, I = 34
- 40.34 deg, 2.236 Å, I = 20
- 58.21 deg, 1.585 Å, I = 22
- 69.39 deg, 1.354 Å, I = 25


Entry 3:
Calculated X-ray diffraction stick pattern
Compound: Li3ErMg9
Radiation: a wavelength of 1.5418 Å
Structure: a cell relaxed with GGA-PBE
Kinematic intensities with the Lorentz-polarization factor, no thermal factor.

Cell and atoms:
```
data_Li3ErMg9
_chemical_formula_sum 'Li3 Er1 Mg9'
_cell_length_a 7.7704
_cell_length_b 7.7704
_cell_length_c 7.7275
_cell_angle_alpha 97.02
_cell_angle_beta 97.02
_cell_angle_gamma 138.56
_space_group_name_H-M_alt 'P 1'
_space_group_IT_number 1
loop_
_space_group_symop_operation_xyz
'x,y,z'
loop_
_atom_site_label
_atom_site_type_symbol
_atom_site_fract_x
_atom_site_fract_y
_atom_site_fract_z
Li1 Li 0.0000 0.0000 0.0000
Li2 Li 0.0000 0.5000 0.5000
Li3 Li 0.5000 0.0000 0.5000
Er1 Er 0.5000 0.5000 0.5000
Mg1 Mg 0.0087 0.7948 0.2917
Mg2 Mg 0.1497 0.5038 0.1529
Mg3 Mg 0.2052 0.9913 0.7083
Mg4 Mg 0.4962 0.8503 0.8471
Mg5 Mg 0.5000 0.5000 0.0000
Mg6 Mg 0.5038 0.1497 0.1529
Mg7 Mg 0.7948 0.0087 0.2917
Mg8 Mg 0.8503 0.4962 0.8471
Mg9 Mg 0.9913 0.2052 0.7083
```

Largest 10 diffraction maxima, low angle first, 2θ = 15–90°:
- 17.27 deg, 5.134 Å, I = 88
- 18.24 deg, 4.863 Å, I = 56
- 25.19 deg, 3.535 Å, I = 62
- 25.42 deg, 3.504 Å, I = 40
- 27.48 deg, 3.246 Å, I = 57
- 30.66 deg, 2.916 Å, I = 43
- 30.89 deg, 2.895 Å, I = 57
- 32.57 deg, 2.749 Å, I = 38
- 34.95 deg, 2.567 Å, I = 56
- 35.40 deg, 2.535 Å, I = 100


Entry 4:
Calculated X-ray diffraction stick pattern
Compound: LiErMg2Pd4
Radiation: a wavelength of 1.5418 Å
Structure: a cell relaxed with GGA-PBE
Kinematic intensities with the Lorentz-polarization factor, no thermal factor.

Cell and atoms:
```
data_LiErMg2Pd4
_chemical_formula_sum 'Li1 Er1 Mg2 Pd4'
_cell_length_a 7.9806
_cell_length_b 7.9806
_cell_length_c 7.9806
_cell_angle_alpha 33.25
_cell_angle_beta 33.25
_cell_angle_gamma 33.25
_space_group_name_H-M_alt 'P 1'
_space_group_IT_number 1
loop_
_space_group_symop_operation_xyz
'x,y,z'
loop_
_atom_site_label
_atom_site_type_symbol
_atom_site_fract_x
_atom_site_fract_y
_atom_site_fract_z
Li1 Li 0.0000 0.0000 0.0000
Er1 Er 0.5000 0.5000 0.5000
Mg1 Mg 0.2560 0.2560 0.2560
Mg2 Mg 0.7440 0.7440 0.7440
Pd1 Pd 0.1176 0.1176 0.1176
Pd2 Pd 0.3744 0.3744 0.3744
Pd3 Pd 0.6256 0.6256 0.6256
Pd4 Pd 0.8824 0.8824 0.8824
```

Largest 10 diffraction maxima, low angle first, 2θ = 15–90°:
- 22.83 deg, 3.895 Å, I = 23
- 23.84 deg, 3.732 Å, I = 16
- 27.53 deg, 3.240 Å, I = 27
- 30.03 deg, 2.976 Å, I = 20
- 39.19 deg, 2.299 Å, I = 97
- 39.47 deg, 2.283 Å, I = 100
- 56.84 deg, 1.620 Å, I = 32
- 70.85 deg, 1.330 Å, I = 14
- 71.40 deg, 1.321 Å, I = 32
- 71.59 deg, 1.318 Å, I = 17


Entry 5:
Calculated X-ray diffraction stick pattern
Compound: LiErMgSi
Radiation: a wavelength of 1.5418 Å
Structure: a cell relaxed with GGA-PBE
Kinematic intensities with the Lorentz-polarization factor, no thermal factor.

Cell and atoms:
```
data_LiErMgSi
_chemical_formula_sum 'Li1 Er1 Mg1 Si1'
_cell_length_a 4.7645
_cell_length_b 4.7645
_cell_length_c 4.7645
_cell_angle_alpha 60.00
_cell_angle_beta 60.00
_cell_angle_gamma 60.00
_space_group_name_H-M_alt 'P 1'
_space_group_IT_number 1
loop_
_space_group_symop_operation_xyz
'x,y,z'
loop_
_atom_site_label
_atom_site_type_symbol
_atom_site_fract_x
_atom_site_fract_y
_atom_site_fract_z
Li1 Li 0.0000 0.0000 0.0000
Er1 Er 0.7500 0.7500 0.7500
Mg1 Mg 0.2500 0.2500 0.2500
Si1 Si 0.5000 0.5000 0.5000
```

Largest 10 diffraction maxima, low angle first, 2θ = 15–90°:
- 22.86 deg, 3.890 Å, I = 96
- 26.46 deg, 3.369 Å, I = 62
- 37.76 deg, 2.382 Å, I = 100
- 44.60 deg, 2.032 Å, I = 50
- 46.70 deg, 1.945 Å, I = 18
- 54.47 deg, 1.685 Å, I = 17
- 59.83 deg, 1.546 Å, I = 21
- 61.55 deg, 1.507 Å, I = 24
- 68.18 deg, 1.375 Å, I = 35
- 85.20 deg, 1.139 Å, I = 16


Entry 6:
Calculated X-ray diffraction stick pattern
Compound: Li2ErTm2Mg5
Radiation: a wavelength of 1.5418 Å
Structure: a cell relaxed with GGA-PBE
Kinematic intensities with the Lorentz-polarization factor, no thermal factor.

Cell and atoms:
```
data_Li2ErTm2Mg5
_chemical_formula_sum 'Li4 Er2 Tm4 Mg10'
_cell_length_a 10.4407
_cell_length_b 10.4407
_cell_length_c 4.4158
_cell_angle_alpha 90.00
_cell_angle_beta 90.00
_cell_angle_gamma 90.00
_space_group_name_H-M_alt 'P 1'
_space_group_IT_number 1
loop_
_space_group_symop_operation_xyz
'x,y,z'
loop_
_atom_site_label
_atom_site_type_symbol
_atom_site_fract_x
_atom_site_fract_y
_atom_site_fract_z
Li1 Li 0.1152 0.3848 0.0000
Li2 Li 0.3848 0.8848 0.0000
Li3 Li 0.6152 0.1152 0.0000
Li4 Li 0.8848 0.6152 0.0000
Er1 Er 0.0000 0.0000 0.0000
Er2 Er 0.5000 0.5000 0.0000
Tm1 Tm 0.1797 0.6797 0.0000
Tm2 Tm 0.3203 0.1797 0.0000
Tm3 Tm 0.6797 0.8203 0.0000
Tm4 Tm 0.8203 0.3203 0.0000
Mg1 Mg 0.0000 0.5000 0.5000
Mg2 Mg 0.0638 0.2129 0.5000
Mg3 Mg 0.2129 0.9362 0.5000
Mg4 Mg 0.2871 0.4362 0.5000
Mg5 Mg 0.4362 0.7129 0.5000
Mg6 Mg 0.5000 0.0000 0.5000
Mg7 Mg 0.5638 0.2871 0.5000
Mg8 Mg 0.7129 0.5638 0.5000
Mg9 Mg 0.7871 0.0638 0.5000
Mg10 Mg 0.9362 0.7871 0.5000
```

Largest 10 diffraction maxima, low angle first, 2θ = 15–90°:
- 19.01 deg, 4.669 Å, I = 64
- 20.11 deg, 4.416 Å, I = 50
- 24.11 deg, 3.691 Å, I = 31
- 27.01 deg, 3.302 Å, I = 45
- 27.81 deg, 3.208 Å, I = 84
- 31.59 deg, 2.832 Å, I = 53
- 33.90 deg, 2.644 Å, I = 100
- 35.45 deg, 2.532 Å, I = 46
- 55.19 deg, 1.664 Å, I = 26
- 55.37 deg, 1.659 Å, I = 33


Entry 7:
Calculated X-ray diffraction stick pattern
Compound: LiErNbN3
Radiation: a wavelength of 1.5418 Å
Structure: a cell relaxed with GGA-PBE
Kinematic intensities with the Lorentz-polarization factor, no thermal factor.

Cell and atoms:
```
data_LiErNbN3
_chemical_formula_sum 'Li2 Er2 Nb2 N6'
_cell_length_a 6.6490
_cell_length_b 3.1717
_cell_length_c 6.7714
_cell_angle_alpha 90.00
_cell_angle_beta 103.03
_cell_angle_gamma 90.00
_space_group_name_H-M_alt 'P 1'
_space_group_IT_number 1
loop_
_space_group_symop_operation_xyz
'x,y,z'
loop_
_atom_site_label
_atom_site_type_symbol
_atom_site_fract_x
_atom_site_fract_y
_atom_site_fract_z
Li1 Li 0.0785 0.2500 0.0858
Li2 Li 0.9215 0.7500 0.9142
Er1 Er 0.1969 0.2500 0.7237
Er2 Er 0.8031 0.7500 0.2763
Nb1 Nb 0.3292 0.7500 0.3108
Nb2 Nb 0.6708 0.2500 0.6892
N1 N 0.1267 0.2500 0.3664
N2 N 0.2187 0.7500 0.0161
N3 N 0.4418 0.7500 0.6683
N4 N 0.5582 0.2500 0.3317
N5 N 0.7813 0.2500 0.9839
N6 N 0.8733 0.7500 0.6336
```

Largest 10 diffraction maxima, low angle first, 2θ = 15–90°:
- 27.03 deg, 3.299 Å, I = 67
- 27.54 deg, 3.239 Å, I = 44
- 31.29 deg, 2.859 Å, I = 100
- 33.46 deg, 2.678 Å, I = 26
- 34.15 deg, 2.626 Å, I = 36
- 39.77 deg, 2.267 Å, I = 49
- 39.98 deg, 2.255 Å, I = 61
- 52.47 deg, 1.744 Å, I = 26
- 53.27 deg, 1.719 Å, I = 30
- 65.23 deg, 1.430 Å, I = 23


Entry 8:
Calculated X-ray diffraction stick pattern
Compound: NaLi2Er
Radiation: a wavelength of 1.5418 Å
Structure: a cell relaxed with GGA-PBE
Kinematic intensities with the Lorentz-polarization factor, no thermal factor.

Cell and atoms:
```
data_NaLi2Er
_chemical_formula_sum 'Na1 Li2 Er1'
_cell_length_a 3.4640
_cell_length_b 3.4640
_cell_length_c 8.8854
_cell_angle_alpha 90.00
_cell_angle_beta 90.00
_cell_angle_gamma 90.00
_space_group_name_H-M_alt 'P 1'
_space_group_IT_number 1
loop_
_space_group_symop_operation_xyz
'x,y,z'
loop_
_atom_site_label
_atom_site_type_symbol
_atom_site_fract_x
_atom_site_fract_y
_atom_site_fract_z
Na1 Na 0.0000 0.0000 0.0000
Li1 Li 0.5000 0.5000 0.2487
Li2 Li 0.5000 0.5000 0.7513
Er1 Er 0.0000 0.0000 0.5000
```

Largest 10 diffraction maxima, low angle first, 2θ = 15–90°:
- 19.99 deg, 4.443 Å, I = 69
- 25.72 deg, 3.464 Å, I = 75
- 27.64 deg, 3.227 Å, I = 76
- 32.78 deg, 2.732 Å, I = 100
- 36.69 deg, 2.449 Å, I = 37
- 38.11 deg, 2.361 Å, I = 33
- 40.05 deg, 2.251 Å, I = 29
- 42.13 deg, 2.145 Å, I = 40
- 48.70 deg, 1.870 Å, I = 27
- 63.61 deg, 1.463 Å, I = 29


What did the fourth record say?
Calculated X-ray diffraction stick pattern
Compound: LiErMg2Pd4
Radiation: a wavelength of 1.5418 Å
Structure: a cell relaxed with GGA-PBE
Kinematic intensities with the Lorentz-polarization factor, no thermal factor.

Cell and atoms:
```
data_LiErMg2Pd4
_chemical_formula_sum 'Li1 Er1 Mg2 Pd4'
_cell_length_a 7.9806
_cell_length_b 7.9806
_cell_length_c 7.9806
_cell_angle_alpha 33.25
_cell_angle_beta 33.25
_cell_angle_gamma 33.25
_space_group_name_H-M_alt 'P 1'
_space_group_IT_number 1
loop_
_space_group_symop_operation_xyz
'x,y,z'
loop_
_atom_site_label
_atom_site_type_symbol
_atom_site_fract_x
_atom_site_fract_y
_atom_site_fract_z
Li1 Li 0.0000 0.0000 0.0000
Er1 Er 0.5000 0.5000 0.5000
Mg1 Mg 0.2560 0.2560 0.2560
Mg2 Mg 0.7440 0.7440 0.7440
Pd1 Pd 0.1176 0.1176 0.1176
Pd2 Pd 0.3744 0.3744 0.3744
Pd3 Pd 0.6256 0.6256 0.6256
Pd4 Pd 0.8824 0.8824 0.8824
```

Largest 10 diffraction maxima, low angle first, 2θ = 15–90°:
- 22.83 deg, 3.895 Å, I = 23
- 23.84 deg, 3.732 Å, I = 16
- 27.53 deg, 3.240 Å, I = 27
- 30.03 deg, 2.976 Å, I = 20
- 39.19 deg, 2.299 Å, I = 97
- 39.47 deg, 2.283 Å, I = 100
- 56.84 deg, 1.620 Å, I = 32
- 70.85 deg, 1.330 Å, I = 14
- 71.40 deg, 1.321 Å, I = 32
- 71.59 deg, 1.318 Å, I = 17